This entry pairs a crystal structure of Ba3V4O13 with its theoretical PXRD pattern. Radiation: λ = 1.5418 Å (Cu Kα). Structure: the GGA+U geometry in Alexandria.
Kinematic intensities with the Lorentz-polarization factor, no thermal factor.

Atomic structure:
```
Ba3V4O13
1.0
8.0396 -4.5450 0.0000
8.0396 4.5450 0.0000
-3.5907 0.0000 9.8184
Ba V O
6 8 26
direct
0.0227 0.3795 0.6868
0.0977 0.9023 0.7500
0.3795 0.0227 0.1868
0.6205 0.9773 0.8132
0.9023 0.0977 0.2500
0.9773 0.6205 0.3132
0.1062 0.7172 0.0063
0.2828 0.8938 0.4937
0.3637 0.4170 0.6399
0.4170 0.3637 0.1399
0.5830 0.6363 0.8601
0.6363 0.5830 0.3601
0.7172 0.1062 0.5063
0.8938 0.2828 0.9937
0.0022 0.2850 0.1590
0.0269 0.2260 0.8826
0.1361 0.8206 0.4575
0.1564 0.5173 0.5642
0.1794 0.8639 0.0425
0.2260 0.0269 0.3826
0.2850 0.0022 0.6590
0.2890 0.5013 0.0176
0.2909 0.3749 0.2338
0.3749 0.2909 0.7338
0.4138 0.5862 0.7500
0.4827 0.8436 0.9358
0.4987 0.7110 0.4824
0.5013 0.2890 0.5176
0.5173 0.1564 0.0642
0.5862 0.4138 0.2500
0.6251 0.7091 0.2662
0.7091 0.6251 0.7662
0.7110 0.4987 0.9824
0.7150 0.9978 0.3410
0.7740 0.9731 0.6174
0.8206 0.1361 0.9575
0.8436 0.4827 0.4358
0.8639 0.1794 0.5425
0.9731 0.7740 0.1174
0.9978 0.7150 0.8410
```

The 8 most intense peaks (10 to 90 degrees two-theta), low angle first:
Position (°2θ)  I_rel
23.1  61.1
24.3  64.7
24.5  100.0
26.1  47.4
26.6  59.5
27.6  46.2
30.1  33.6
40.9  40.1